Entry 1:
Simulated XRD peak list of Pr2Nd2SmY6 for copper Kα, from a GGA-PBE-relaxed structure.
Lines closer than 0.1° are merged.

Cell and atoms:
Cell lengths 6.754, 6.754, 10.632 Å; angles 90.00, 90.00, 129.32 degrees
Sites, in units of the cell vectors:
Pr 0.209 0.791 0.000
Pr 0.791 0.209 0.000
Nd 0.130 0.870 0.500
Nd 0.870 0.130 0.500
Sm 0.500 0.500 0.000
Y 0.000 0.000 0.205
Y 0.000 0.000 0.795
Y 0.349 0.651 0.300
Y 0.349 0.651 0.700
Y 0.651 0.349 0.300
Y 0.651 0.349 0.700

Peak list (6 most intense, 5° ≤ 2θ ≤ 70°, sorted by position)
two_theta, I_rel
30.48, 65
30.94, 42
31.72, 100
33.72, 18
43.98, 20
55.52, 20

=====

Entry 2:
Simulated XRD peak list of Pr2NdSmY5 for copper Kα, from a GGA-PBE-relaxed structure.
Lines closer than 0.1° are merged.

Cell and atoms:
Cell lengths 10.041, 10.041, 10.041 Å; angles 128.39, 128.39, 76.00 degrees
Sites, in units of the cell vectors:
Pr 0.118 0.618 0.737
Pr 0.382 0.118 0.500
Pr 0.618 0.882 0.500
Pr 0.882 0.382 0.263
Nd 0.250 0.750 0.500
Nd 0.750 0.250 0.500
Sm 0.250 0.250 0.000
Sm 0.750 0.750 0.000
Y 0.000 0.000 0.000
Y 0.070 0.153 0.500
Y 0.153 0.653 0.083
Y 0.347 0.430 0.500
Y 0.430 0.930 0.083
Y 0.500 0.500 0.000
Y 0.570 0.070 0.917
Y 0.653 0.570 0.500
Y 0.847 0.347 0.917
Y 0.930 0.847 0.500

Peak list (6 most intense, 5° ≤ 2θ ≤ 70°, sorted by position)
two_theta, I_rel
28.42, 56
28.89, 50
30.48, 100
37.53, 21
42.93, 21
52.19, 23

=====

Entry 3:
Simulated XRD peak list of PrNdSm2Y for copper Kα, from a GGA-PBE-relaxed structure.
Lines closer than 0.1° are merged.

Cell and atoms:
Cell lengths 8.322, 6.794, 6.281 Å; angles 90.00, 90.19, 90.00 degrees
Sites, in units of the cell vectors:
Pr 0.000 0.000 0.000
Pr 0.000 0.000 0.500
Nd 0.500 0.162 0.250
Nd 0.500 0.838 0.750
Sm 0.304 0.310 0.749
Sm 0.304 0.690 0.249
Sm 0.696 0.310 0.751
Sm 0.696 0.690 0.251
Y 0.000 0.421 0.250
Y 0.000 0.579 0.750

Peak list (6 most intense, 5° ≤ 2θ ≤ 70°, sorted by position)
two_theta, I_rel
28.40, 67
28.90, 100
30.42, 26
31.82, 40
33.22, 32
37.85, 34

=====

Entry 4:
Simulated XRD peak list of Pr2NdSm2Y6 for copper Kα, from a GGA-PBE-relaxed structure.
Lines closer than 0.1° are merged.

Cell and atoms:
Cell lengths 6.731, 6.731, 10.710 Å; angles 90.00, 90.00, 129.38 degrees
Sites, in units of the cell vectors:
Pr 0.133 0.867 0.000
Pr 0.867 0.133 0.000
Nd 0.500 0.500 0.500
Sm 0.207 0.793 0.500
Sm 0.793 0.207 0.500
Y 0.000 0.000 0.293
Y 0.000 0.000 0.707
Y 0.348 0.652 0.207
Y 0.348 0.652 0.793
Y 0.652 0.348 0.207
Y 0.652 0.348 0.793

Peak list (6 most intense, 5° ≤ 2θ ≤ 70°, sorted by position)
two_theta, I_rel
30.36, 30
30.55, 24
31.08, 39
31.74, 100
33.47, 19
55.71, 20